1.
This entry pairs a crystal structure of SmCoC2 with its theoretical powder diffractogram. Radiation: CuKα. Structure: DFT lattice parameters and positions (GGA-PBE).
Neutral-atom scattering factors, no anomalous dispersion.

Crystal structure
```
data_SmCoC2
_chemical_formula_sum 'Sm4 Co4 C8'
_symmetry_space_group_name_H-M 'P 41'
_symmetry_Int_Tables_number 76
_cell_length_a 3.751
_cell_length_b 3.751
_cell_length_c 14.453
_cell_angle_alpha 90.00
_cell_angle_beta 90.00
_cell_angle_gamma 90.00
loop_
_symmetry_equiv_pos_as_xyz
'x,y,z'
'-y,x,z+1/4'
'-x,-y,z+1/2'
'y,-x,z+3/4'
loop_
_atom_site_label
_atom_site_type_symbol
_atom_site_fract_x
_atom_site_fract_y
_atom_site_fract_z
Sm1 Sm 0.137 0.140 0.000
Co1 Co 0.356 0.366 0.596
C1 C 0.141 0.638 0.137
C2 C 0.353 0.360 0.463
```

Peak list (8 most intense, 5° ≤ 2θ ≤ 70°, low angle first)
- d 3.613, I 24, hkl 0 0 4
- d 2.960, I 45, hkl 1 0 3
- d 2.605, I 100, hkl 1 0 4
- d 2.490, I 42, hkl 1 1 2
- d 2.290, I 37, hkl 1 0 5
- d 1.860, I 33, hkl 2 0 1
- d 1.808, I 23, hkl 0 0 8
- d 1.377, I 25, hkl 2 1 6

***

2.
This entry pairs a crystal structure of Mn2ReHRu with its theoretical powder diffractogram. Radiation: CuKα. Structure: DFT lattice parameters and positions (GGA-PBE).
Neutral-atom scattering factors, no anomalous dispersion.

Crystal structure
```
data_Mn2ReHRu
_chemical_formula_sum 'Mn2 Re1 H1 Ru1'
_symmetry_space_group_name_H-M 'P 4/m m m'
_symmetry_Int_Tables_number 123
_symmetry_space_group_name_Hall '-P 4 2'
_cell_length_a 3.770
_cell_length_b 3.770
_cell_length_c 3.748
_cell_angle_alpha 90.00
_cell_angle_beta 90.00
_cell_angle_gamma 90.00
loop_
_atom_site_label
_atom_site_type_symbol
_atom_site_fract_x
_atom_site_fract_y
_atom_site_fract_z
Mn1 Mn 0.000 0.500 0.000
Re1 Re 0.000 0.000 0.500
H1 H 0.500 0.500 0.000
Ru1 Ru 0.500 0.500 0.500
```

Peak list (8 most intense, 5° ≤ 2θ ≤ 70°, low angle first)
- d 3.770, I 8, hkl 1 0 0
- d 3.748, I 20, hkl 0 0 1
- d 2.666, I 18, hkl 1 1 0
- d 2.658, I 8, hkl 1 0 1
- d 2.173, I 100, hkl 1 1 1
- d 1.885, I 33, hkl 2 0 0
- d 1.874, I 16, hkl 0 0 2
- d 1.685, I 11, hkl 2 0 1

***

3.
This entry pairs a crystal structure of La4Sm2HoEr with its theoretical powder diffractogram. Radiation: CuKα. Structure: DFT lattice parameters and positions (GGA-PBE).
Neutral-atom scattering factors, no anomalous dispersion.

Crystal structure
```
data_La4Sm2HoEr
_chemical_formula_sum 'La4 Sm2 Ho1 Er1'
_symmetry_space_group_name_H-M 'P 1 2/m 1'
_symmetry_Int_Tables_number 10
_cell_length_a 5.217
_cell_length_b 5.253
_cell_length_c 10.098
_cell_angle_alpha 90.00
_cell_angle_beta 90.05
_cell_angle_gamma 90.00
loop_
_symmetry_equiv_pos_as_xyz
'x,y,z'
'-x,-y,-z'
'-x,y,-z'
'x,-y,z'
loop_
_atom_site_label
_atom_site_type_symbol
_atom_site_fract_x
_atom_site_fract_y
_atom_site_fract_z
La1 La 0.000 0.000 0.249
La2 La 0.499 0.500 0.750
Sm1 Sm 0.000 0.500 0.000
Sm2 Sm 0.500 0.000 0.500
Ho1 Ho 0.000 0.500 0.500
Er1 Er 0.500 0.000 0.000
```

Peak list (8 most intense, 5° ≤ 2θ ≤ 70°, low angle first)
- d 2.985, I 100, hkl 1 1 2
- d 2.626, I 18, hkl 0 2 0
- d 2.608, I 17, hkl 2 0 0
- d 2.524, I 16, hkl 0 0 4
- d 1.851, I 13, hkl 2 2 0
- d 1.577, I 15, hkl 1 3 2
- d 1.569, I 15, hkl 3 1 2
- d 1.532, I 14, hkl 1 1 6